Record 1
Starting from a DFT-relaxed cell (PBE, Alexandria), the X-ray diffraction stick pattern of MgMn4Ir was calculated for a wavelength of 1.5418 Å.
Intensities are scaled so that the largest is 100.

Structure:
```
6
Lattice="0.000 3.337 3.337 3.337 0.000 3.337 3.337 3.337 0.000" Properties=species:S:1:pos:R:3 pbc="T T T"
Mg 0.000 0.000 0.000
Mn 4.184 2.491 2.491
Mn 2.491 4.184 2.491
Mn 2.491 2.491 4.184
Mn 4.184 4.184 4.184
Ir 1.669 1.669 1.669
```

Main lines, in order of rising 2θ (15 to 90 degrees two-theta):
Position (°2θ)	I/Imax
23.1	32
26.7	35
38.1	45
45.0	100
47.2	27
60.5	9
62.2	12
68.9	16
73.8	30
81.6	19

***

Record 2
Starting from a DFT-relaxed cell (PBE, Alexandria), the X-ray diffraction stick pattern of MgMnIr4 was calculated for a wavelength of 1.5418 Å.
Intensities are scaled so that the largest is 100.

Structure:
```
6
Lattice="0.000 3.671 3.671 3.671 0.000 3.671 3.671 3.671 0.000" Properties=species:S:1:pos:R:3 pbc="T T T"
Mg 0.000 0.000 0.000
Mn 5.507 5.507 5.507
Ir 2.754 2.754 2.754
Ir 4.589 4.589 2.754
Ir 4.589 2.754 4.589
Ir 2.754 4.589 4.589
```

Main lines, in order of rising 2θ (15 to 90 degrees two-theta):
Position (°2θ)	I/Imax
21.0	97
40.8	100
42.7	89
49.7	34
54.5	24
66.1	32
72.9	33
76.8	18
87.0	12
88.3	35

***

Record 3
Starting from a DFT-relaxed cell (PBE, Alexandria), the X-ray diffraction stick pattern of Na4MgIr3S8 was calculated for a wavelength of 1.5418 Å.
Intensities are scaled so that the largest is 100.

Structure:
```
16
Lattice="3.677 2.123 6.339 -3.677 2.123 6.339 0.000 -4.246 6.339" Properties=species:S:1:pos:R:3 pbc="T T T"
Na 0.000 0.000 0.000
Na -1.839 -1.062 6.339
Na -1.839 1.062 12.678
Na 0.000 2.123 6.339
Mg 0.000 0.000 9.509
Ir -3.677 0.000 9.509
Ir -1.839 1.062 3.170
Ir 1.839 1.062 3.170
S -1.938 -1.119 10.764
S 0.000 0.000 4.319
S 0.000 -2.238 8.253
S -1.938 1.119 8.253
S 1.938 -1.119 10.764
S 0.000 2.238 10.764
S 0.000 0.000 14.698
S 1.938 1.119 8.253
```

Main lines, in order of rising 2θ (15 to 90 degrees two-theta):
Position (°2θ)	I/Imax
16.8	17
28.4	39
29.6	31
33.9	100
43.8	27
47.7	31
49.6	35
51.8	26
61.4	17
79.9	15